# 1
Diffraction record for Ta2BeO6. The powder X-ray diffraction pattern is simulated, not measured: it uses a PBE-relaxed structure and Cu Kα.

Main lines, low angle first (2θ from 5° to 70°):
Position (°2θ)  I_rel
19.54  93
23.71  78
23.95  100
29.44  48
31.06  100
33.95  52
38.30  38
39.57  36
44.74  35
58.24  31

Cell lengths 11.530, 7.431, 4.943 Å; angles 90.00, 90.00, 90.00 degrees
Positions (direct):
Ta  0.133  0.004  0.106
Ta  0.133  0.496  0.106
Ta  0.367  0.504  0.606
Ta  0.367  0.996  0.606
Ta  0.633  0.004  0.394
Ta  0.633  0.496  0.394
Ta  0.867  0.504  0.894
Ta  0.867  0.996  0.894
Be  0.061  0.750  0.599
Be  0.439  0.250  0.099
Be  0.561  0.750  0.901
Be  0.939  0.250  0.401
O  0.034  0.576  0.772
O  0.034  0.924  0.772
O  0.103  0.750  0.296
O  0.141  0.250  0.988
O  0.231  0.066  0.406
O  0.231  0.434  0.406
O  0.269  0.566  0.906
O  0.269  0.934  0.906
O  0.359  0.750  0.488
O  0.397  0.250  0.796
O  0.466  0.076  0.272
O  0.466  0.424  0.272
O  0.534  0.576  0.728
O  0.534  0.924  0.728
O  0.603  0.750  0.204
O  0.641  0.250  0.512
O  0.731  0.066  0.094
O  0.731  0.434  0.094
O  0.769  0.566  0.594
O  0.769  0.934  0.594
O  0.859  0.750  0.012
O  0.897  0.250  0.704
O  0.966  0.076  0.228
O  0.966  0.424  0.228

---

# 2
Diffraction record for TbBeO3. The powder X-ray diffraction pattern is simulated, not measured: it uses a PBE-relaxed structure and Cu Kα.

Main lines, low angle first (2θ from 5° to 70°):
Position (°2θ)  I_rel
24.85  100
35.43  99
43.76  66
50.98  35
57.52  43
63.61  38

Cell lengths 3.583, 3.583, 3.583 Å; angles 90.00, 90.00, 90.00 degrees
Positions (direct):
Tb  0.000  0.000  0.000
Be  0.500  0.500  0.500
O  0.000  0.500  0.500
O  0.500  0.000  0.500
O  0.500  0.500  0.000

---

# 3
Diffraction record for ThBeO3. The powder X-ray diffraction pattern is simulated, not measured: it uses a PBE-relaxed structure and Cu Kα.

Main lines, low angle first (2θ from 5° to 70°):
Position (°2θ)  I_rel
24.32  100
34.67  95
42.80  55
49.84  28
56.21  45
62.13  38

Cell lengths 3.659, 3.659, 3.659 Å; angles 90.00, 90.00, 90.00 degrees
Positions (direct):
Th  0.000  0.000  0.000
Be  0.500  0.500  0.500
O  0.000  0.500  0.500
O  0.500  0.000  0.500
O  0.500  0.500  0.000

---

# 4
Diffraction record for TiBeO3. The powder X-ray diffraction pattern is simulated, not measured: it uses a PBE-relaxed structure and Cu Kα.

Main lines, low angle first (2θ from 5° to 70°):
Position (°2θ)  I_rel
26.30  28
37.53  51
46.41  100
54.13  56
61.15  11
67.73  18

Cell lengths 3.389, 3.389, 3.389 Å; angles 90.00, 90.00, 90.00 degrees
Positions (direct):
Ti  0.000  0.000  0.000
Be  0.500  0.500  0.500
O  0.000  0.500  0.500
O  0.500  0.000  0.500
O  0.500  0.500  0.000

---

# 5
Diffraction record for TmBeO3. The powder X-ray diffraction pattern is simulated, not measured: it uses a PBE-relaxed structure and Cu Kα.

Main lines, low angle first (2θ from 5° to 70°):
Position (°2θ)  I_rel
25.18  100
35.91  97
44.36  63
51.69  33
58.34  43
64.54  37

Cell lengths 3.537, 3.537, 3.537 Å; angles 90.00, 90.00, 90.00 degrees
Positions (direct):
Tm  0.000  0.000  0.000
Be  0.500  0.500  0.500
O  0.000  0.500  0.500
O  0.500  0.000  0.500
O  0.500  0.500  0.000

---

# 6
Diffraction record for UBeO3. The powder X-ray diffraction pattern is simulated, not measured: it uses a PBE-relaxed structure and Cu Kα.

Main lines, low angle first (2θ from 5° to 70°):
Position (°2θ)  I_rel
24.87  100
35.46  94
43.80  54
51.03  28
57.57  45
63.68  38

Cell lengths 3.580, 3.580, 3.580 Å; angles 90.00, 90.00, 90.00 degrees
Positions (direct):
U  0.000  0.000  0.000
Be  0.500  0.500  0.500
O  0.000  0.500  0.500
O  0.500  0.000  0.500
O  0.500  0.500  0.000

---

# 7
Diffraction record for Y2BeO4. The powder X-ray diffraction pattern is simulated, not measured: it uses a PBE-relaxed structure and Cu Kα.

Main lines, low angle first (2θ from 5° to 70°):
Position (°2θ)  I_rel
12.22  17
19.63  63
28.02  22
30.34  100
31.22  37
31.76  37
31.98  37
45.37  20
51.24  41
53.96  28

Cell lengths 10.475, 3.563, 10.026 Å; angles 90.00, 90.00, 90.00 degrees
Positions (direct):
Y  0.090  0.250  0.179
Y  0.117  0.250  0.588
Y  0.383  0.750  0.088
Y  0.410  0.750  0.679
Y  0.590  0.250  0.321
Y  0.617  0.250  0.912
Y  0.883  0.750  0.412
Y  0.910  0.750  0.821
Be  0.193  0.250  0.874
Be  0.307  0.750  0.374
Be  0.693  0.250  0.626
Be  0.807  0.750  0.126
O  0.013  0.250  0.386
O  0.045  0.250  0.850
O  0.222  0.750  0.246
O  0.248  0.250  0.017
O  0.252  0.750  0.517
O  0.278  0.250  0.746
O  0.455  0.750  0.350
O  0.487  0.750  0.886
O  0.513  0.250  0.114
O  0.545  0.250  0.650
O  0.722  0.750  0.254
O  0.748  0.250  0.483
O  0.752  0.750  0.983
O  0.778  0.250  0.754
O  0.955  0.750  0.150
O  0.987  0.750  0.614

---

# 8
Diffraction record for Be46Os7. The powder X-ray diffraction pattern is simulated, not measured: it uses a PBE-relaxed structure and Cu Kα.

Main lines, low angle first (2θ from 5° to 70°):
Position (°2θ)  I_rel
5.38  27
16.19  41
24.39  36
24.53  98
25.86  39
29.53  100
34.86  61
43.17  43
48.56  53
50.22  64

Cell lengths 4.191, 4.191, 32.846 Å; angles 90.00, 90.00, 120.00 degrees
Positions (direct):
Be  0.000  0.000  0.000
Be  0.000  0.000  0.083
Be  0.000  0.000  0.331
Be  0.000  0.000  0.418
Be  0.000  0.000  0.666
Be  0.000  0.000  0.748
Be  0.009  0.504  0.707
Be  0.009  0.505  0.041
Be  0.009  0.505  0.375
Be  0.323  0.162  0.938
Be  0.324  0.162  0.810
Be  0.326  0.163  0.479
Be  0.326  0.163  0.603
Be  0.333  0.166  0.146
Be  0.333  0.166  0.269
Be  0.333  0.667  0.176
Be  0.333  0.667  0.240
Be  0.333  0.667  0.509
Be  0.333  0.667  0.573
Be  0.333  0.667  0.844
Be  0.333  0.667  0.905
Be  0.495  0.505  0.041
Be  0.495  0.505  0.375
Be  0.495  0.991  0.041
Be  0.495  0.991  0.375
Be  0.496  0.504  0.707
Be  0.496  0.991  0.707
Be  0.667  0.333  0.093
Be  0.667  0.333  0.208
Be  0.667  0.333  0.323
Be  0.667  0.333  0.426
Be  0.667  0.333  0.655
Be  0.667  0.333  0.759
Be  0.667  0.333  0.989
Be  0.834  0.166  0.146
Be  0.834  0.166  0.269
Be  0.834  0.667  0.146
Be  0.834  0.667  0.269
Be  0.837  0.163  0.479
Be  0.837  0.163  0.603
Be  0.837  0.674  0.479
Be  0.837  0.674  0.603
Be  0.838  0.162  0.810
Be  0.838  0.162  0.938
Be  0.838  0.676  0.810
Be  0.838  0.677  0.938
Os  0.000  0.000  0.874
Os  0.333  0.667  0.106
Os  0.333  0.667  0.311
Os  0.333  0.667  0.440
Os  0.333  0.667  0.641
Os  0.333  0.667  0.772
Os  0.333  0.667  0.976

---

# 9
Diffraction record for Tm2BeOs. The powder X-ray diffraction pattern is simulated, not measured: it uses a PBE-relaxed structure and Cu Kα.

Main lines, low angle first (2θ from 5° to 70°):
Position (°2θ)  I_rel
22.88  28
26.48  9
37.80  100
44.64  15
46.74  3
54.52  18
59.89  6
61.61  4
68.25  36

Cell lengths 4.760, 4.760, 4.760 Å; angles 60.00, 60.00, 60.00 degrees
Positions (direct):
Tm  0.250  0.250  0.250
Tm  0.750  0.750  0.750
Be  0.000  0.000  0.000
Os  0.500  0.500  0.500